Theoretical powder diffractogram of Y2ZnCo for Cu Kα X-rays, from a crystal structure in Alexandria, relaxed with GGA-PBE.
Peak positions follow from Bragg's law for the DFT cell and can differ from measured ones.

Crystal structure
Cell lengths 4.2245, 5.6711, 5.6711 Å; angles 39.84, 90.00, 90.00 degrees
Fractional coordinates of all 4 atoms:
1 Y 0.0000 0.0000 0.0000
2 Y 0.5000 0.2812 0.2812
3 Zn 0.5000 0.5745 0.5745
4 Co 0.0000 0.7048 0.7048

Peak list (6 most intense, 15° ≤ 2θ ≤ 90°, by angle)
| 2θ (°) | d_spacing | Rel. int. |
| --- | --- | --- |
| 32.5 | 2.755 | 100 |
| 34.3 | 2.616 | 48 |
| 40.0 | 2.255 | 31 |
| 40.6 | 2.224 | 64 |
| 42.8 | 2.112 | 30 |
| 47.0 | 1.932 | 23 |